The following is a calculated PXRD pattern of CsZnSnSb2. It was derived from the GGA-PBE geometry in Alexandria, using Cu Kα (weighted mean of Kα1 and Kα2).
Peak positions follow from Bragg's law for the DFT cell and can differ from measured ones.

Peak list (10 most intense, 5° ≤ 2θ ≤ 70°, most intense first)
2θ (°)  I/Imax
24.49  100
32.51  79
26.83  72
29.16  61
39.73  57
25.64  55
52.26  55
22.96  53
38.68  49
44.94  45

Cell and atoms:
Lattice parameters (Å, degrees): 8.125 8.125 12.309 120.73 120.73 32.43
Positions (direct):
Cs 0.171 0.171 0.152
Cs 0.829 0.829 0.848
Zn 0.074 0.074 0.744
Zn 0.926 0.926 0.256
Sn 0.360 0.360 0.586
Sn 0.640 0.640 0.414
Sb 0.109 0.109 0.547
Sb 0.442 0.442 0.159
Sb 0.558 0.558 0.841
Sb 0.891 0.891 0.453